Computed PXRD pattern of Ho3InC for Cu Kα X-rays, from the PBE geometry in the Materials Project.
Neutral-atom scattering factors, no anomalous dispersion.

Crystal structure
Lattice parameters (Å, degrees): 5.560 5.560 5.560 90.00 90.00 90.00
Positions (direct):
Ho (0.000, 0.000, 0.500)
Ho (0.000, 0.500, 0.000)
Ho (0.500, 0.000, 0.000)
In (0.000, 0.000, 0.000)
C (0.500, 0.500, 0.500)

Principal peaks in the range 10 to 90 degrees two-theta, low angle first:
Position (°2θ)	d (Å)	I/Imax	(hkl)
15.94	5.560	100	1 0 0
27.79	3.210	73	1 1 1
32.20	2.780	97	2 0 0
36.12	2.486	55	2 1 0
46.18	1.966	71	2 2 0
49.16	1.853	29	3 0 0
54.76	1.676	33	3 1 1
57.41	1.605	25	2 2 2
76.65	1.243	32	4 2 0
85.57	1.135	24	4 2 2